Structure and calculated powder diffraction line list of KMgMoO3 (a DFT-relaxed cell (PBE+U, the Materials Project); Cu Kα (weighted mean of Kα1 and Kα2)).
Lines closer than 0.1° are merged.

Peak list (10 most intense, 15° ≤ 2θ ≤ 90°, low angle first)
- (1 1 0), 20.23°, intensity 78
- (2 0 0), 26.98°, intensity 23
- (1 1 1), 30.45°, intensity 100
- (2 0 -1), 30.85°, intensity 22
- (2 2 0), 41.13°, intensity 31
- (1 1 -2), 43.90°, intensity 92
- (2 2 1), 48.51°, intensity 15
- (2 0 2), 54.11°, intensity 19
- (2 2 2), 63.36°, intensity 21
- (1 3 -2), 63.58°, intensity 24

Structure:
Cell lengths 6.7203, 5.8736, 4.4547 Å; angles 90.00, 100.18, 90.00 degrees
Space group Cm (No. 8)
Unique sites:
K 0.0000 0.0000 0.0000
Mg 0.3272 0.0000 0.6745
Mo 0.1328 0.5000 0.3667
O 0.1055 0.5000 0.8788
O 0.3618 0.2420 0.3946